For Pr5Ga3Ni3, a cell relaxed with GGA-PBE gives the simulated X-ray diffraction stick pattern in this record (a wavelength of 1.5418 Å).
Kinematic intensities with the Lorentz-polarization factor, no thermal factor.

Crystal structure
Unit cell a=9.157 b=9.157 c=3.888 alpha=90.00 beta=90.00 gamma=120.00
Atoms (fractional coordinates):
Pr 0.000 0.749 0.000
Pr 0.251 0.251 0.000
Pr 0.333 0.667 0.000
Pr 0.667 0.333 0.000
Pr 0.749 0.000 0.000
Ga 0.000 0.475 0.500
Ga 0.475 0.000 0.500
Ga 0.525 0.525 0.500
Ni 0.000 0.334 0.000
Ni 0.334 0.000 0.000
Ni 0.666 0.666 0.000

Main lines, sorted by position (15 to 90 degrees two-theta):
2theta  Rel. int.  h k l
22.87  67  0 0 1
29.81  100  2 1 0
32.25  88  2 0 1
33.91  50  3 0 0
37.90  47  2 1 1
41.30  84  3 0 1